Structure and theoretical powder X-ray diffraction pattern of TaBiN2O (a crystal structure in OQMD, relaxed with PBE; CuKα).

Unit cell a=3.9776 b=5.8244 c=5.8589 alpha=90.00 beta=90.00 gamma=90.00
Fractional positions:
Ta  0.0000  0.2170  0.0000
Ta  0.0000  0.7830  0.5000
Bi  0.5000  0.2958  0.4489
Bi  0.5000  0.7042  0.9489
N  0.0000  0.0652  0.3307
N  0.0000  0.9348  0.8307
N  0.5000  0.2891  0.0619
N  0.5000  0.7109  0.5619
O  0.0000  0.4471  0.7568
O  0.0000  0.5529  0.2568

Top 10 peaks for 2θ = 10–80°, most intense first:
h k l	Position (°2θ)	Rel. int.
1 1 1	31.2	100
0 0 2	30.5	26
0 2 0	30.7	22
1 1 3	54.7	19
0 2 2	43.8	18
2 0 0	45.6	13
1 3 1	54.9	12
2 2 2	65.1	11
2 0 2	55.9	10
0 2 1	34.4	9

Structure and theoretical powder X-ray diffraction pattern of NaZrCuTeSeS (a crystal structure in OQMD, relaxed with PBE; CuKα).

Unit cell a=13.8604 b=3.8832 c=10.3294 alpha=90.00 beta=90.00 gamma=90.00
Fractional positions:
Na  0.2380  0.2500  0.0307
Na  0.2620  0.7500  0.5307
Na  0.7380  0.2500  0.4693
Na  0.7620  0.7500  0.9693
Zr  0.0056  0.2500  0.3327
Zr  0.4944  0.7500  0.8327
Zr  0.5056  0.2500  0.1673
Zr  0.9944  0.7500  0.6673
Cu  0.0079  0.7500  0.0932
Cu  0.4921  0.2500  0.5932
Cu  0.5079  0.7500  0.4068
Cu  0.9921  0.2500  0.9068
Te  0.1527  0.7500  0.2543
Te  0.3473  0.2500  0.7543
Te  0.6527  0.7500  0.2457
Te  0.8473  0.2500  0.7457
Se  0.1016  0.7500  0.8788
Se  0.3984  0.2500  0.3788
Se  0.6016  0.7500  0.6212
Se  0.8984  0.2500  0.1212
S  0.0930  0.2500  0.5671
S  0.4070  0.7500  0.0671
S  0.5930  0.2500  0.9329
S  0.9070  0.7500  0.4329

Top 10 peaks for 2θ = 10–80°, most intense first:
h k l	Position (°2θ)	Rel. int.
2 0 0	12.8	100
5 1 2	43.8	97
3 1 2	34.8	75
2 0 3	29.0	61
2 1 0	26.3	51
2 0 4	37.2	49
2 1 2	31.6	44
3 1 1	31.3	38
0 2 0	46.8	37
0 1 5	50.0	36